[1]
Theoretical X-ray powder pattern
Compound: CuSbF5
Radiation: Cu Kα (λ = 1.5418 Å)
Structure: a DFT-relaxed cell (GGA-PBE, Alexandria)

Most intense lines, 2θ = 15–90°, in order of rising 2θ:
h k l	d/Å	I/Imax
1 1 0	5.456	20
2 0 0	4.040	95
0 2 0	3.699	74
1 1 -2	3.324	100
2 2 0	2.728	25
3 1 -2	2.572	18
1 1 2	2.561	17
1 3 -2	2.055	33
4 0 0	2.020	25
4 2 0	1.773	17

a = 8.911 Å, b = 7.398 Å, c = 7.440 Å
α = 90.00°, β = 114.94°, γ = 90.00°
Space group C2/c (No. 15)
One atom of each set of equivalent atoms:
1 Cu 0.000 0.000 0.000 [4 per cell]
2 Sb 0.000 0.462 0.250 [4 per cell]
3 F 0.000 0.079 0.250 [4 per cell]
4 F 0.004 0.333 0.934 [8 per cell]
5 F 0.239 0.009 0.623 [8 per cell]

=====

[2]
Theoretical X-ray powder pattern
Compound: Y2B7Ru12
Radiation: Cu Kα (λ = 1.5418 Å)
Structure: a DFT-relaxed cell (GGA-PBE, Alexandria)

Most intense lines, 2θ = 15–90°, in order of rising 2θ:
h k l	d/Å	I/Imax
2 1 0	2.966	27
1 1 1	2.895	15
3 -2 1	2.329	100
0 3 1	2.148	12
0 0 2	1.883	37
3 2 0	1.800	17
1 4 0	1.713	10
2 1 2	1.589	9
3 2 2	1.301	11
3 -2 3	1.155	10

a = 9.0622 Å, b = 9.0622 Å, c = 3.7625 Å
α = 90.00°, β = 90.00°, γ = 120.00°
Space group P-3 (No. 147)
One atom of each set of equivalent atoms:
1 Y 0.3333 0.6667 0.2495 [2 per cell]
2 B 0.0000 0.0000 0.0000 [1 per cell]
3 B 0.1194 0.7245 0.7547 [6 per cell]
4 Ru 0.0388 0.4314 0.7478 [6 per cell]
5 Ru 0.1030 0.2433 0.2497 [6 per cell]

=====

[3]
Theoretical X-ray powder pattern
Compound: Ba4MgCd3
Radiation: Cu Kα (λ = 1.5418 Å)
Structure: a DFT-relaxed cell (GGA-PBE, Alexandria)

Most intense lines, 2θ = 15–90°, in order of rising 2θ:
h k l	d/Å	I/Imax
4 0 0	3.029	100
4 0 2	2.145	12
0 4 0	2.137	6
6 2 1	1.749	33
4 4 0	1.747	6
4 4 2	1.514	8
8 0 2	1.356	11
2 6 1	1.352	5
10 2 1	1.146	13
6 6 1	1.144	6

a = 12.130 Å, b = 8.549 Å, c = 6.066 Å
α = 90.00°, β = 90.00°, γ = 90.00°
Space group Pmma (No. 51)
One atom of each set of equivalent atoms:
1 Ba 0.000 0.246 0.000 [4 per cell]
2 Ba 0.250 0.246 0.498 [4 per cell]
3 Mg 0.000 0.500 0.500 [2 per cell]
4 Cd 0.000 0.000 0.500 [2 per cell]
5 Cd 0.250 0.000 0.998 [2 per cell]
6 Cd 0.250 0.500 0.997 [2 per cell]

=====

Repeat the third record exactly.
Theoretical X-ray powder pattern
Compound: Ba4MgCd3
Radiation: Cu Kα (λ = 1.5418 Å)
Structure: a DFT-relaxed cell (GGA-PBE, Alexandria)

Most intense lines, 2θ = 15–90°, in order of rising 2θ:
h k l	d/Å	I/Imax
4 0 0	3.029	100
4 0 2	2.145	12
0 4 0	2.137	6
6 2 1	1.749	33
4 4 0	1.747	6
4 4 2	1.514	8
8 0 2	1.356	11
2 6 1	1.352	5
10 2 1	1.146	13
6 6 1	1.144	6

a = 12.130 Å, b = 8.549 Å, c = 6.066 Å
α = 90.00°, β = 90.00°, γ = 90.00°
Space group Pmma (No. 51)
One atom of each set of equivalent atoms:
1 Ba 0.000 0.246 0.000 [4 per cell]
2 Ba 0.250 0.246 0.498 [4 per cell]
3 Mg 0.000 0.500 0.500 [2 per cell]
4 Cd 0.000 0.000 0.500 [2 per cell]
5 Cd 0.250 0.000 0.998 [2 per cell]
6 Cd 0.250 0.500 0.997 [2 per cell]